The following is a calculated XRD peak list of KVTeO5. It was derived from a crystal structure in Alexandria, relaxed with GGA+U, using Cu Ka.

Principal peaks in the range 2θ = 5–70°, by angle:
2θ/deg	Rel. int.	hkl
14.9	39	0 2 0
15.1	38	0 1 1
17.9	49	1 1 -1
26.1	100	1 0 -2
26.7	82	1 3 0
31.6	46	1 3 1

abc: 6.5230 11.8813 7.0664
angles: 90.00 106.71 90.00
Space group P2_1/c (No. 14)
Asymmetric unit:
1 K 0.1760 0.1886 0.1648
2 V 0.3491 0.6225 0.5940
3 Te 0.2363 0.5540 0.1007
4 O 0.1136 0.0898 0.5123
5 O 0.1746 0.7031 0.6684
6 O 0.1927 0.5506 0.3619
7 O 0.4625 0.2027 0.9524
8 O 0.4660 0.5172 0.7824